The following is a calculated powder diffraction line list of MnMoH2SeO7. It was derived from a crystal structure in Alexandria, relaxed with PBE+U, using CuKα.
Kinematic intensities with the Lorentz-polarization factor, no thermal factor.

Structural model:
```
data_MnMoH2SeO7
_chemical_formula_sum 'Mn2 Mo2 H4 Se2 O14'
_cell_length_a 5.1225
_cell_length_b 6.8467
_cell_length_c 9.1826
_cell_angle_alpha 92.12
_cell_angle_beta 95.87
_cell_angle_gamma 109.35
_symmetry_space_group_name_H-M 'P -1'
_symmetry_Int_Tables_number 2
loop_
_symmetry_equiv_pos_as_xyz
'x,y,z'
'-x,-y,-z'
loop_
_atom_site_label
_atom_site_type_symbol
_atom_site_fract_x
_atom_site_fract_y
_atom_site_fract_z
Mn1 Mn 0.0000 0.0000 0.0000
Mn2 Mn 0.5000 0.5000 0.5000
Mo1 Mo 0.2041 0.9090 0.6009
H1 H 0.3873 0.3722 0.1328
H2 H 0.4675 0.7318 0.9871
Se1 Se 0.1591 0.6928 0.2456
O1 O 0.1404 0.9675 0.7792
O2 O 0.1554 0.1874 0.5083
O3 O 0.2275 0.7854 0.0805
O4 O 0.2604 0.6667 0.6070
O5 O 0.3501 0.5330 0.2748
O6 O 0.3567 0.2665 0.0504
O7 O 0.3790 0.9139 0.3765
```

The 12 most intense peaks (2θ = 10–80°), sorted by position:
| two_theta | I_rel |
| --- | --- |
| 13.75 | 47.5 |
| 21.91 | 23.8 |
| 24.78 | 34.9 |
| 26.44 | 100.0 |
| 26.65 | 94.8 |
| 27.24 | 54.9 |
| 28.62 | 41.8 |
| 29.45 | 94.5 |
| 30.12 | 31.8 |
| 31.62 | 51.7 |
| 36.91 | 24.0 |
| 47.09 | 28.3 |